Entry 1:
The following is a computed powder diffraction line list of Er3Ga5. It was derived from DFT lattice parameters and positions (GGA-PBE), using CuKα.
Kinematic intensities with the Lorentz-polarization factor, no thermal factor.

Structural model:
Lattice parameters (Å, degrees): 11.330 9.646 6.076 90.00 90.00 90.00
Space group Pnma (No. 62)
Inequivalent atoms, fractional coordinates:
Er: 0.073 0.250 0.152 [4 per cell]
Er: 0.148 0.510 0.610 [8 per cell]
Ga: 0.006 0.250 0.628 [4 per cell]
Ga: 0.091 0.552 0.126 [8 per cell]
Ga: 0.201 0.750 0.896 [4 per cell]
Ga: 0.248 0.750 0.325 [4 per cell]

Principal peaks in the range 2θ from 10° to 90°, most intense first:
hkl  2theta  I_rel
1 2 2  35.8  100
0 4 0  37.3  87
3 0 2  38.0  82
3 2 1  33.6  77
4 2 0  36.8  75
1 3 2  41.7  65
4 0 1  34.9  55
2 2 1  28.4  54
1 0 2  30.5  44
3 4 2  54.3  39

***

Entry 2:
The following is a computed powder diffraction line list of TmAl7Fe5. It was derived from DFT lattice parameters and positions (GGA-PBE), using CuKα.
Kinematic intensities with the Lorentz-polarization factor, no thermal factor.

Structural model:
Lattice parameters (Å, degrees): 5.019 8.635 8.610 90.00 90.00 90.00
Space group Imm2 (No. 44)
Inequivalent atoms, fractional coordinates:
Tm: 0.000 0.000 0.000 [2 per cell]
Al: 0.000 0.000 0.333 [2 per cell]
Al: 0.000 0.000 0.655 [2 per cell]
Al: 0.000 0.291 0.500 [4 per cell]
Al: 0.000 0.342 0.986 [4 per cell]
Al: 0.000 0.500 0.270 [2 per cell]
Fe: 0.000 0.500 0.730 [2 per cell]
Fe: 0.248 0.251 0.243 [8 per cell]

Principal peaks in the range 2θ from 10° to 90°, most intense first:
hkl  2theta  I_rel
0 4 0  41.8  100
2 2 0  41.6  78
1 1 2  29.2  62
0 1 1  14.5  50
1 0 3  36.0  35
1 0 1  20.5  31
0 0 4  42.0  30
2 2 4  60.6  28
0 2 2  29.3  27
0 1 3  32.8  23

***

Entry 3:
The following is a computed powder diffraction line list of NdSmIr2. It was derived from DFT lattice parameters and positions (GGA-PBE), using CuKα.
Kinematic intensities with the Lorentz-polarization factor, no thermal factor.

Structural model:
Lattice parameters (Å, degrees): 7.055 7.055 7.055 90.00 90.00 90.00
Space group Fm-3m (No. 225)
Inequivalent atoms, fractional coordinates:
Nd: 0.000 0.000 0.000 [4 per cell]
Sm: 0.000 0.000 0.500 [4 per cell]
Ir: 0.250 0.250 0.250 [8 per cell]

Principal peaks in the range 2θ from 10° to 90°, most intense first:
hkl  2theta  I_rel
2 2 0  36.0  100
4 2 2  64.7  37
4 0 0  51.8  18
6 2 0  87.4  17
4 4 0  76.4  11
2 0 0  25.2  2
4 2 0  58.5  1
2 2 2  44.5  1

***

Entry 4:
The following is a computed powder diffraction line list of Mg4CuO5. It was derived from DFT lattice parameters and positions (GGA-PBE), using CuKα.
Kinematic intensities with the Lorentz-polarization factor, no thermal factor.

Structural model:
Lattice parameters (Å, degrees): 3.015 4.252 15.039 90.00 90.00 90.00
Space group Immm (No. 71)
Inequivalent atoms, fractional coordinates:
Mg: 0.000 0.000 0.099 [4 per cell]
Mg: 0.000 0.000 0.300 [4 per cell]
Cu: 0.000 0.000 0.500 [2 per cell]
O: 0.000 0.500 0.102 [4 per cell]
O: 0.000 0.500 0.300 [4 per cell]
O: 0.000 0.500 0.500 [2 per cell]

Principal peaks in the range 2θ from 10° to 90°, most intense first:
hkl  2theta  I_rel
1 0 5  42.5  100
1 2 5  61.7  47
1 1 0  36.6  26
0 0 2  11.8  21
0 1 1  21.7  11
2 0 0  61.5  10
1 1 10  73.9  9
2 2 0  77.6  9
0 2 10  77.8  9
0 1 3  27.5  6

***

Entry 5:
The following is a computed powder diffraction line list of Rh. It was derived from DFT lattice parameters and positions (GGA-PBE), using CuKα.
Kinematic intensities with the Lorentz-polarization factor, no thermal factor.

Structural model:
Lattice parameters (Å, degrees): 2.7240 2.7240 8.8705 90.00 90.00 120.00
Space group P6_3/mmc (No. 194)
Inequivalent atoms, fractional coordinates:
Rh: 0.0000 0.0000 0.0000 [2 per cell]
Rh: 0.3333 0.6667 0.2500 [2 per cell]

Principal peaks in the range 2θ from 10° to 90°, most intense first:
hkl  2theta  I_rel
1 0 2  43.4  100
1 0 1  39.5  44
0 0 4  40.7  36
1 1 4  83.2  26
1 0 3  49.4  23
1 1 0  68.9  22
1 0 6  76.0  19
2 0 2  85.1  14
1 0 5  65.9  9
1 0 0  38.1  8

***

Entry 6:
The following is a computed powder diffraction line list of HfMg14Mn. It was derived from DFT lattice parameters and positions (GGA-PBE), using CuKα.
Kinematic intensities with the Lorentz-polarization factor, no thermal factor.

Structural model:
Lattice parameters (Å, degrees): 6.3401 6.3401 10.1120 90.00 90.00 120.00
Space group P-6m2 (No. 187)
Inequivalent atoms, fractional coordinates:
Hf: 0.0000 0.0000 0.0000 [1 per cell]
Mg: 0.0060 0.5030 0.0000 [3 per cell]
Mg: 0.1620 0.3239 0.2533 [6 per cell]
Mg: 0.5005 0.0009 0.5000 [3 per cell]
Mg: 0.6667 0.3333 0.2466 [2 per cell]
Mn: 0.0000 0.0000 0.5000 [1 per cell]

Principal peaks in the range 2θ from 10° to 90°, most intense first:
hkl  2theta  I_rel
2 0 2  37.3  100
1 0 0  16.1  50
1 0 2  23.9  35
2 0 0  32.6  30
1 0 1  18.4  29
0 0 4  35.5  25
2 0 6  64.9  20
2 2 4  70.1  19
2 0 4  49.0  19
2 2 0  58.2  17

***

Entry 7:
The following is a computed powder diffraction line list of DyCdAg2. It was derived from DFT lattice parameters and positions (GGA-PBE), using CuKα.
Kinematic intensities with the Lorentz-polarization factor, no thermal factor.

Structural model:
Lattice parameters (Å, degrees): 7.008 7.008 7.008 90.00 90.00 90.00
Space group Fm-3m (No. 225)
Inequivalent atoms, fractional coordinates:
Dy: 0.000 0.000 0.000 [4 per cell]
Cd: 0.000 0.000 0.500 [4 per cell]
Ag: 0.250 0.250 0.250 [8 per cell]

Principal peaks in the range 2θ from 10° to 90°, most intense first:
hkl  2theta  I_rel
2 2 0  36.3  100
4 2 2  65.2  34
4 0 0  52.2  17
6 2 0  88.2  15
4 4 0  77.0  11
1 1 1  22.0  2
2 0 0  25.4  1
3 1 1  42.8  1
4 2 0  58.9  1
3 3 1  57.3  1